Hg2TeO5: calculated X-ray diffraction stick pattern (copper Kα), based on a GGA-PBE-relaxed structure.
Peak positions follow from Bragg's law for the DFT cell and can differ from measured ones.

Largest 6 diffraction maxima, by angle, 5 to 70 degrees two-theta:
| 2θ (°) | I_rel |
| --- | --- |
| 25.27 | 23 |
| 29.32 | 88 |
| 29.48 | 52 |
| 29.59 | 44 |
| 30.29 | 100 |
| 42.26 | 36 |

Structural model:
a b c (Å): 7.518 6.060 10.133
angles (deg): 90.00 90.00 90.00
Space group Pna2_1 (No. 33)
Asymmetric unit:
Hg 0.025 0.225 0.000 x4
Hg 0.231 0.228 0.663 x4
Te 0.134 0.741 0.833 x4
O 0.058 0.042 0.784 x4
O 0.091 0.839 0.018 x4
O 0.119 0.368 0.333 x4
O 0.162 0.654 0.649 x4
O 0.211 0.455 0.892 x4